This entry pairs a crystal structure of LiVO2F2 with its calculated PXRD pattern. Radiation: copper Kα. Structure: the GGA+U geometry in Alexandria.

Most intense lines, 10° ≤ 2θ ≤ 90°, low angle first:
| two_theta | I (rel.) | hkl |
| --- | --- | --- |
| 16.95 | 70 | 0 1 0 |
| 19.03 | 82 | 0 0 2 |
| 23.76 | 46 | 1 1 1 |
| 25.59 | 100 | 0 1 2 |
| 28.89 | 98 | 2 0 1 |
| 33.68 | 15 | 2 1 1 |
| 39.50 | 22 | 0 2 2 |
| 42.44 | 15 | 0 1 4 |
| 43.71 | 34 | 2 1 3 |
| 47.49 | 24 | 1 2 3 |

Atomic structure:
```
data_LiVO2F2
_chemical_formula_sum 'Li4 V4 O8 F8'
_space_group_name_H-M_alt 'P c a 21'
_space_group_IT_number 29
_space_group_name_Hall 'P 2c -2ac'
_cell_length_a 6.5519
_cell_length_b 5.2321
_cell_length_c 9.3283
_cell_angle_alpha 90.00
_cell_angle_beta 90.00
_cell_angle_gamma 90.00
loop_
_atom_site_label
_atom_site_fract_x
_atom_site_fract_y
_atom_site_fract_z
Li1 0.1542 0.0556 0.0000
V1 0.0989 0.5850 0.7320
O1 0.0764 0.7684 0.8719
O2 0.1423 0.5047 0.1597
F1 0.1093 0.8706 0.5948
F2 0.1203 0.2822 0.8367
```